Diffraction record for Bi12Rh3Br2. The X-ray powder pattern is calculated, not measured: it uses a cell relaxed with GGA-PBE and CuKα.
Kinematic intensities with the Lorentz-polarization factor, no thermal factor.

```
Bi12Rh3Br2
1.0
0.000 8.407 16.204
3.759 0.000 16.204
3.759 8.407 0.000
Bi Rh Br
24 6 4
Direct
0.103 0.423 0.229
0.154 0.490 0.696
0.161 0.195 0.833
0.161 0.696 0.490
0.167 0.688 0.839
0.195 0.161 0.312
0.229 0.745 0.103
0.255 0.771 0.577
0.304 0.839 0.846
0.312 0.833 0.195
0.423 0.103 0.745
0.490 0.154 0.161
0.510 0.846 0.839
0.577 0.897 0.255
0.688 0.167 0.805
0.696 0.161 0.154
0.745 0.229 0.423
0.771 0.255 0.897
0.805 0.839 0.688
0.833 0.312 0.161
0.839 0.304 0.510
0.839 0.805 0.167
0.846 0.510 0.304
0.897 0.577 0.771
0.000 0.000 0.000
0.000 0.000 0.500
0.000 0.500 0.000
0.125 0.125 0.125
0.500 0.000 0.000
0.875 0.875 0.875
0.175 0.575 0.175
0.425 0.825 0.425
0.575 0.175 0.575
0.825 0.425 0.825
```

The 10 most intense peaks (15° ≤ 2θ ≤ 90°), in order of falling intensity:
- 2θ 32.3, rel. 100
- 2θ 26.0, rel. 64
- 2θ 41.9, rel. 49
- 2θ 30.9, rel. 47
- 2θ 29.5, rel. 43
- 2θ 40.3, rel. 41
- 2θ 31.8, rel. 35
- 2θ 33.1, rel. 35
- 2θ 27.7, rel. 35
- 2θ 63.5, rel. 34

Diffraction record for TeMo2P. The X-ray powder pattern is calculated, not measured: it uses a cell relaxed with GGA-PBE and CuKα.
Kinematic intensities with the Lorentz-polarization factor, no thermal factor.

```
TeMo2P
1.0
3.342 0.000 0.000
0.000 3.342 0.000
0.000 0.000 6.282
Te Mo P
1 2 1
Direct
0.000 0.000 0.000
0.000 0.000 0.536
0.500 0.500 0.228
0.500 0.500 0.628
```

The 10 most intense peaks (15° ≤ 2θ ≤ 90°), in order of falling intensity:
- 2θ 39.4, rel. 100
- 2θ 38.1, rel. 71
- 2θ 69.7, rel. 36
- 2θ 54.9, rel. 24
- 2θ 30.3, rel. 23
- 2θ 28.4, rel. 15
- 2θ 48.2, rel. 14
- 2θ 26.7, rel. 13
- 2θ 72.2, rel. 10
- 2θ 58.9, rel. 9